Structure and computed XRD peak list of Sm6Cd2Tc (a cell relaxed with PBE; Cu Kα (weighted mean of Kα1 and Kα2)).
Neutral-atom scattering factors, no anomalous dispersion.

Structural model:
abc: 3.977 8.645 8.645
angles: 118.77 90.00 90.00
Element x y z (fractional)
Sm  0.000  0.000  0.000
Sm  0.000  0.515  0.748
Sm  0.000  0.748  0.515
Sm  0.500  0.146  0.750
Sm  0.500  0.357  0.357
Sm  0.500  0.750  0.146
Cd  0.000  0.083  0.419
Cd  0.000  0.419  0.083
Tc  0.500  0.773  0.773

Main lines, by angle (2θ from 5° to 70°):
two_theta, I/Imax
30.29, 63
30.55, 100
31.06, 32
31.49, 38
31.74, 40
32.64, 76
32.97, 37
35.54, 43
39.17, 22
45.62, 33